Diffraction record for GdSnF7. The XRD peak list is theoretical, not measured: it uses a DFT-relaxed cell (PBE, the Materials Project) and Cu Ka.
Intensities are scaled so that the largest is 100.

Main lines, by intensity (10 to 80 degrees two-theta):
2θ (°), I_rel
21.51, 100
22.03, 39
28.36, 32
25.74, 21
43.46, 21
29.45, 16
47.27, 16
31.23, 15
27.03, 13
22.57, 13

Cell and atoms:
abc: 9.1116 5.7279 12.2517
angles: 90.00 117.66 90.00
Space group P2_1/c (No. 14)
Inequivalent atoms, fractional coordinates:
Gd (0.1870, 0.2421, 0.2654)
Sn (0.2730, 0.7436, 0.0433)
F (0.0263, 0.7408, 0.9466)
F (0.0294, 0.5796, 0.7337)
F (0.2553, 0.5434, 0.1714)
F (0.2699, 0.0197, 0.1423)
F (0.2820, 0.0475, 0.4547)
F (0.2920, 0.5477, 0.4197)
F (0.4810, 0.2297, 0.3593)

=====

Diffraction record for Zn2CuAu. The XRD peak list is theoretical, not measured: it uses a DFT-relaxed cell (PBE, the Materials Project) and Cu Ka.
Intensities are scaled so that the largest is 100.

Main lines, by intensity (10 to 80 degrees two-theta):
2θ (°), I_rel
41.30, 100
75.30, 33
24.94, 24
59.84, 16
48.86, 13
28.88, 12
65.85, 6
67.78, 5
51.18, 3

Cell and atoms:
abc: 6.1827 6.1827 6.1827
angles: 90.00 90.00 90.00
Space group Fm-3m (No. 225)
Inequivalent atoms, fractional coordinates:
Zn (0.2500, 0.2500, 0.2500)
Cu (0.0000, 0.0000, 0.0000)
Au (0.0000, 0.0000, 0.5000)

=====

Diffraction record for Sc2NiRu. The XRD peak list is theoretical, not measured: it uses a DFT-relaxed cell (PBE, the Materials Project) and Cu Ka.
Intensities are scaled so that the largest is 100.

Main lines, by intensity (10 to 80 degrees two-theta):
2θ (°), I_rel
39.90, 100
72.46, 31
57.71, 16
27.93, 12
24.12, 6
65.31, 5
49.41, 4
47.17, 3
63.46, 1
77.64, 1

Cell and atoms:
abc: 6.3899 6.3899 6.3899
angles: 90.00 90.00 90.00
Space group Fm-3m (No. 225)
Inequivalent atoms, fractional coordinates:
Sc (0.2500, 0.2500, 0.2500)
Ni (0.0000, 0.0000, 0.0000)
Ru (0.0000, 0.0000, 0.5000)

=====

Diffraction record for SrB12H12. The XRD peak list is theoretical, not measured: it uses a DFT-relaxed cell (PBE, the Materials Project) and Cu Ka.
Intensities are scaled so that the largest is 100.

Main lines, by intensity (10 to 80 degrees two-theta):
2θ (°), I_rel
14.31, 100
16.23, 68
15.27, 51
29.35, 42
39.29, 40
29.88, 33
24.92, 31
27.19, 31
40.03, 29
20.99, 23

Cell and atoms:
abc: 7.1473 7.1473 11.6028
angles: 90.00 90.00 120.00
Space group P31c (No. 159)
Inequivalent atoms, fractional coordinates:
Sr (0.3333, 0.6667, 0.0000)
B (0.0759, 0.4742, 0.3440)
B (0.1391, 0.7312, 0.3991)
B (0.1743, 0.5469, 0.4866)
B (0.2144, 0.7073, 0.2559)
H (0.0017, 0.7758, 0.4193)
H (0.0626, 0.4618, 0.5698)
H (0.1073, 0.4441, 0.8227)
H (0.1303, 0.7374, 0.1733)

=====

Diffraction record for Te6Mo3WSe2. The XRD peak list is theoretical, not measured: it uses a DFT-relaxed cell (PBE, the Materials Project) and Cu Ka.
Intensities are scaled so that the largest is 100.

Main lines, by intensity (10 to 80 degrees two-theta):
2θ (°), I_rel
34.72, 100
11.19, 88
42.09, 64
29.49, 52
52.29, 39
43.81, 19
37.39, 18
73.95, 18
64.30, 17
69.28, 14

Cell and atoms:
abc: 3.4995 3.4995 39.5432
angles: 90.00 90.00 120.00
Space group P3m1 (No. 156)
Inequivalent atoms, fractional coordinates:
Te (0.0000, 0.0000, 0.0000)
Te (0.0000, 0.0000, 0.0926)
Te (0.0000, 0.0000, 0.3757)
Te (0.0000, 0.0000, 0.4683)
Te (0.6667, 0.3333, 0.5633)
Te (0.6667, 0.3333, 0.6565)
Mo (0.0000, 0.0000, 0.2341)
Mo (0.6667, 0.3333, 0.0463)
Mo (0.6667, 0.3333, 0.4220)
W (0.0000, 0.0000, 0.6100)
Se (0.6667, 0.3333, 0.1933)
Se (0.6667, 0.3333, 0.2751)

=====

Diffraction record for YReN3. The XRD peak list is theoretical, not measured: it uses a DFT-relaxed cell (PBE, the Materials Project) and Cu Ka.
Intensities are scaled so that the largest is 100.

Main lines, by intensity (10 to 80 degrees two-theta):
2θ (°), I_rel
32.64, 100
33.16, 25
31.79, 24
22.81, 22
46.59, 21
58.91, 21
57.17, 15
47.06, 12
68.38, 12
58.77, 11

Cell and atoms:
abc: 5.6301 7.7247 5.4033
angles: 90.00 90.00 90.00
Space group Pnma (No. 62)
Inequivalent atoms, fractional coordinates:
Y (0.0611, 0.2500, 0.0116)
Re (0.0000, 0.0000, 0.5000)
N (0.0180, 0.7500, 0.4181)
N (0.2033, 0.5434, 0.8004)

=====

Diffraction record for NaCa2Si3O9. The XRD peak list is theoretical, not measured: it uses a DFT-relaxed cell (PBE, the Materials Project) and Cu Ka.
Intensities are scaled so that the largest is 100.

Main lines, by intensity (10 to 80 degrees two-theta):
2θ (°), I_rel
30.68, 100
28.55, 40
26.38, 24
38.44, 19
27.01, 18
52.19, 17
41.52, 16
36.83, 15
28.65, 12
27.94, 12

Cell and atoms:
abc: 7.0108 7.1627 8.0929
angles: 95.74 102.33 90.21
Space group P-1 (No. 2)
Inequivalent atoms, fractional coordinates:
Na (0.2334, 0.1522, 0.4384)
Ca (0.0892, 0.6494, 0.8556)
Ca (0.4126, 0.3596, 0.1515)
Si (0.0942, 0.1628, 0.7814)
Si (0.2345, 0.6448, 0.4520)
Si (0.4502, 0.8418, 0.2157)
O (0.0050, 0.9573, 0.8057)
O (0.0321, 0.7712, 0.4009)
O (0.1112, 0.3283, 0.9350)
O (0.2046, 0.4467, 0.3319)
O (0.2887, 0.6297, 0.6540)
O (0.3106, 0.1137, 0.7378)
O (0.3496, 0.0441, 0.1829)
O (0.3928, 0.6763, 0.0598)
O (0.4079, 0.7741, 0.3948)